Diffraction record for CaMgAl2. The PXRD pattern is calculated, not measured: it uses a structure optimized by DFT (GGA-PBE) and Cu Kα, 1.54184 Å.
Neutral-atom scattering factors, no anomalous dispersion.

Crystal structure
```
data_CaMgAl2
_chemical_formula_sum 'Ca2 Mg2 Al4'
_cell_length_a 6.2847
_cell_length_b 8.9524
_cell_length_c 3.1641
_cell_angle_alpha 90.00
_cell_angle_beta 90.21
_cell_angle_gamma 90.00
_space_group_name_H-M_alt 'C 1 2/m 1'
_space_group_IT_number 12
_space_group_name_Hall '-C 2y'
loop_
_atom_site_label
_atom_site_fract_x
_atom_site_fract_y
_atom_site_fract_z
Ca1 0.0000 0.0000 0.0000
Mg1 0.0000 0.5000 0.0000
Al1 0.2500 0.2500 0.5000
```

Peak list (10 most intense, 10 to 90 degrees two-theta, by angle)
- d = 5.144 Å, 17.24°, I 12, hkl 1 1 0
- d = 2.584 Å, 34.72°, I 100, hkl 0 2 1
- d = 2.572 Å, 34.89°, I 99, hkl 2 2 0
- d = 2.236 Å, 40.34°, I 64, hkl 0 4 0
- d = 2.226 Å, 40.53°, I 32, hkl 2 0 1
- d = 1.581 Å, 58.35°, I 31, hkl 0 0 2
- d = 1.578 Å, 58.48°, I 20, hkl 2 4 1
- d = 1.349 Å, 69.68°, I 24, hkl 0 6 1
- d = 1.348 Å, 69.77°, I 12, hkl 2 6 0
- d = 1.345 Å, 69.95°, I 23, hkl 2 2 2